Structure and calculated X-ray powder pattern of Gd (DFT lattice parameters and positions (PBE); a wavelength of 1.5418 Å).
Peak positions follow from Bragg's law for the DFT cell and can differ from measured ones.

Peak list (10 most intense, 10° ≤ 2θ ≤ 90°, by angle)
2θ = 28.6°, intensity 26; 2θ = 31.2°, intensity 39; 2θ = 32.3°, intensity 55; 2θ = 32.7°, intensity 100; 2θ = 42.9°, intensity 17; 2θ = 50.2°, intensity 20; 2θ = 56.2°, intensity 12; 2θ = 56.5°, intensity 21; 2θ = 60.3°, intensity 24; 2θ = 61.7°, intensity 17

Structure:
Cell lengths 3.6329, 3.6329, 5.7348 Å; angles 90.00, 90.00, 120.90 degrees
Fractional positions:
Gd: 0.1633 0.8367 0.7500
Gd: 0.8367 0.1633 0.2500

***

Structure and calculated X-ray powder pattern of Re16Ni13 (DFT lattice parameters and positions (PBE); a wavelength of 1.5418 Å).
Peak positions follow from Bragg's law for the DFT cell and can differ from measured ones.

Peak list (10 most intense, 10° ≤ 2θ ≤ 90°, by angle)
2θ = 13.8°, intensity 11; 2θ = 23.9°, intensity 10; 2θ = 39.6°, intensity 8; 2θ = 42.1°, intensity 100; 2θ = 46.8°, intensity 12; 2θ = 49.0°, intensity 9; 2θ = 51.1°, intensity 8; 2θ = 61.1°, intensity 6; 2θ = 76.9°, intensity 26; 2θ = 86.9°, intensity 5

Structure:
Cell lengths 7.8865, 7.8865, 7.8865 Å; angles 109.47, 109.47, 109.47 degrees
Fractional positions:
Re: 0.0000 0.0000 0.6394
Re: 0.0000 0.4048 0.6840
Re: 0.0000 0.6394 0.0000
Re: 0.0000 0.6840 0.4048
Re: 0.2791 0.5952 0.5952
Re: 0.3160 0.3160 0.7209
Re: 0.3160 0.7209 0.3160
Re: 0.3606 0.3606 0.3606
Re: 0.4048 0.0000 0.6840
Re: 0.4048 0.6840 0.0000
Re: 0.5952 0.2791 0.5952
Re: 0.5952 0.5952 0.2791
Re: 0.6394 0.0000 0.0000
Re: 0.6840 0.0000 0.4048
Re: 0.6840 0.4048 0.0000
Re: 0.7209 0.3160 0.3160
Ni: 0.0000 0.0000 0.0000
Ni: 0.0000 0.1855 0.3644
Ni: 0.0000 0.3644 0.1855
Ni: 0.1789 0.8145 0.8145
Ni: 0.1855 0.0000 0.3644
Ni: 0.1855 0.3644 0.0000
Ni: 0.3644 0.0000 0.1855
Ni: 0.3644 0.1855 0.0000
Ni: 0.6356 0.6356 0.8211
Ni: 0.6356 0.8211 0.6356
Ni: 0.8145 0.1789 0.8145
Ni: 0.8145 0.8145 0.1789
Ni: 0.8211 0.6356 0.6356